# 1
Structure and calculated powder X-ray diffraction pattern of Cs2CdBr7 (DFT lattice parameters and positions (GGA-PBE); λ = 1.5418 Å (Cu Kα)).

Largest 6 diffraction maxima, by angle, 2θ from 10° to 90°:
2theta	d_spacing	I_rel
21.38	4.156	57
26.66	3.344	100
29.00	3.079	54
31.79	2.815	98
43.56	2.078	70
45.57	1.991	35

Cell and atoms:
```
data_Cs2CdBr7
_cell_length_a 7.963
_cell_length_b 7.963
_cell_length_c 12.318
_cell_angle_alpha 90.00
_cell_angle_beta 90.00
_cell_angle_gamma 90.00
_space_group_name_H-M_alt 'I 4/m m m'
_space_group_IT_number 139
_space_group_name_Hall '-I 4 2'
loop_
_atom_site_label
_atom_site_fract_x
_atom_site_fract_y
_atom_site_fract_z
_atom_site_occupancy
Cs1 0.000 0.500 0.250 1
Cd1 0.000 0.000 0.000 1
Br1 0.000 0.000 0.213 1
Br2 0.000 0.000 0.500 1
Br3 0.246 0.246 0.500 1
```

***

# 2
Structure and calculated powder X-ray diffraction pattern of Li2YHg (DFT lattice parameters and positions (GGA-PBE); λ = 1.5418 Å (Cu Kα)).

Largest 6 diffraction maxima, by angle, 2θ from 10° to 90°:
2theta	d_spacing	I_rel
12.38	7.151	100
28.02	3.184	74
35.61	2.521	71
35.71	2.514	36
37.93	2.372	28
64.09	1.453	26

Cell and atoms:
```
data_Li2YHg
_cell_length_a 3.556
_cell_length_b 3.556
_cell_length_c 7.151
_cell_angle_alpha 90.00
_cell_angle_beta 90.00
_cell_angle_gamma 90.00
_space_group_name_H-M_alt 'P 4 m m'
_space_group_IT_number 99
loop_
_space_group_symop_operation_xyz
'x,y,z'
'-y,x,z'
'-x,-y,z'
'y,-x,z'
'-x,y,z'
'y,x,z'
'x,-y,z'
'-y,-x,z'
loop_
_atom_site_label
_atom_site_fract_x
_atom_site_fract_y
_atom_site_fract_z
_atom_site_occupancy
Li1 0.000 0.000 0.000 1
Li2 0.500 0.500 0.203 1
Y1 0.000 0.000 0.524 1
Hg1 0.500 0.500 0.791 1
```

***

# 3
Structure and calculated powder X-ray diffraction pattern of Pa2FeCo3B12 (DFT lattice parameters and positions (GGA-PBE); λ = 1.5418 Å (Cu Kα)).

Largest 6 diffraction maxima, by angle, 2θ from 10° to 90°:
2theta	d_spacing	I_rel
12.20	7.256	52
25.10	3.549	70
27.99	3.188	26
33.15	2.702	45
35.45	2.532	100
38.70	2.327	27

Cell and atoms:
```
data_Pa2FeCo3B12
_cell_length_a 5.4047
_cell_length_b 5.4047
_cell_length_c 21.7670
_cell_angle_alpha 90.00
_cell_angle_beta 90.00
_cell_angle_gamma 120.00
_space_group_name_H-M_alt 'R -3 m'
_space_group_IT_number 166
_space_group_name_Hall '-R 3 2"'
loop_
_atom_site_label
_atom_site_fract_x
_atom_site_fract_y
_atom_site_fract_z
_atom_site_occupancy
Pa1 0.0000 0.0000 0.1389 1
Fe1 0.0000 0.0000 0.5000 1
Co1 0.0000 0.5000 0.0000 1
B1 0.0780 0.5390 0.0952 1
B2 0.1069 0.2137 0.7388 1
```

***

# 4
Structure and calculated powder X-ray diffraction pattern of TbTm2ScRh4 (DFT lattice parameters and positions (GGA-PBE); λ = 1.5418 Å (Cu Kα)).

Largest 6 diffraction maxima, by angle, 2θ from 10° to 90°:
2theta	d_spacing	I_rel
37.83	2.378	99
37.93	2.372	100
54.65	1.680	34
68.24	1.374	17
68.47	1.370	52
81.08	1.186	11

Cell and atoms:
```
data_TbTm2ScRh4
_cell_length_a 4.7443
_cell_length_b 4.7443
_cell_length_c 23.3328
_cell_angle_alpha 90.00
_cell_angle_beta 90.00
_cell_angle_gamma 120.00
_space_group_name_H-M_alt 'R -3 m'
_space_group_IT_number 166
_space_group_name_Hall '-R 3 2"'
loop_
_atom_site_label
_atom_site_fract_x
_atom_site_fract_y
_atom_site_fract_z
_atom_site_occupancy
Tb1 0.0000 0.0000 0.0000 1
Tm1 0.0000 0.0000 0.2477 1
Sc1 0.0000 0.0000 0.5000 1
Rh1 0.0000 0.0000 0.1272 1
Rh2 0.0000 0.0000 0.3780 1
```

***

# 5
Structure and calculated powder X-ray diffraction pattern of RbBi (DFT lattice parameters and positions (GGA-PBE); λ = 1.5418 Å (Cu Kα)).

Largest 6 diffraction maxima, by angle, 2θ from 10° to 90°:
2theta	d_spacing	I_rel
13.49	6.563	97
17.82	4.979	100
25.96	3.432	86
27.01	3.302	63
29.16	3.063	64
33.07	2.709	59

Cell and atoms:
```
data_RbBi
_cell_length_a 7.526
_cell_length_b 7.641
_cell_length_c 13.404
_cell_angle_alpha 90.00
_cell_angle_beta 90.00
_cell_angle_gamma 90.00
_space_group_name_H-M_alt 'P 21 21 21'
_space_group_IT_number 19
loop_
_space_group_symop_operation_xyz
'x,y,z'
'-x+1/2,-y,z+1/2'
'x+1/2,-y+1/2,-z'
'-x,y+1/2,-z+1/2'
loop_
_atom_site_label
_atom_site_fract_x
_atom_site_fract_y
_atom_site_fract_z
_atom_site_occupancy
Rb1 0.119 0.080 0.450 1
Rb2 0.157 0.662 0.668 1
Bi1 0.088 0.576 0.372 1
Bi2 0.204 0.835 0.209 1
```

***

# 6
Structure and calculated powder X-ray diffraction pattern of Li3B8C8 (DFT lattice parameters and positions (GGA-PBE); λ = 1.5418 Å (Cu Kα)).

Largest 6 diffraction maxima, by angle, 2θ from 10° to 90°:
2theta	d_spacing	I_rel
12.57	7.041	9
25.30	3.521	100
38.60	2.332	9
46.70	1.945	15
51.95	1.760	11
69.09	1.360	8

Cell and atoms:
```
data_Li3B8C8
_cell_length_a 4.732
_cell_length_b 5.361
_cell_length_c 7.540
_cell_angle_alpha 100.15
_cell_angle_beta 108.12
_cell_angle_gamma 90.01
_space_group_name_H-M_alt 'P -1'
_space_group_IT_number 2
loop_
_space_group_symop_operation_xyz
'x,y,z'
'-x,-y,-z'
loop_
_atom_site_label
_atom_site_fract_x
_atom_site_fract_y
_atom_site_fract_z
_atom_site_occupancy
Li1 0.000 0.000 0.000 1
Li2 0.500 0.256 0.000 1
B1 0.208 0.436 0.744 1
B2 0.212 0.937 0.748 1
B3 0.287 0.314 0.250 1
B4 0.287 0.811 0.250 1
C1 0.042 0.188 0.752 1
C2 0.042 0.689 0.752 1
C3 0.453 0.060 0.240 1
C4 0.461 0.562 0.248 1
```